# NaRe4Ag3O12
Simulated powder XRD pattern, Cu Ka. Input: a PBE-relaxed structure.
Lines closer than 0.1° are merged.

Most intense lines, 2θ = 10–90°, in order of falling intensity:
2θ (°)  I_rel
32.8  100
58.6  40
47.1  27
23.1  21
78.4  17
68.8  16
53.1  9
87.6  6
73.7  4
16.2  4

```
20
Lattice="-3.857 3.857 3.857 3.857 -3.857 3.857 3.857 3.857 -3.857" Properties=species:S:1:pos:R:3 pbc="T T T"
Na 0.000 0.000 0.000
Re 1.929 1.929 -1.929
Re 1.929 -1.929 1.929
Re -1.929 1.929 1.929
Re 1.929 1.929 1.929
Ag 3.857 0.000 0.000
Ag 0.000 3.857 0.000
Ag 0.000 0.000 3.857
O 3.857 -1.768 2.137
O 2.089 1.720 0.000
O 5.625 1.720 0.000
O 2.137 3.857 -1.768
O 1.720 0.000 2.089
O 0.000 2.089 1.720
O 3.857 1.768 2.137
O 2.137 3.857 1.768
O 1.720 0.000 5.625
O -1.768 2.137 3.857
O 1.768 2.137 3.857
O 0.000 5.625 1.720
```

***

# NaReAgO3
Simulated powder XRD pattern, Cu Ka. Input: a PBE-relaxed structure.
Lines closer than 0.1° are merged.

Most intense lines, 2θ = 10–90°, in order of falling intensity:
2θ (°)  I_rel
14.7  100
38.6  39
32.1  35
24.5  29
34.8  25
36.4  24
44.3  20
12.7  18
38.8  18
30.5  16

```
24
Lattice="12.036 0.000 0.000 0.000 2.854 0.000 0.000 0.000 8.596" Properties=species:S:1:pos:R:3 pbc="T T T"
Na 2.671 0.713 1.388
Na 3.348 2.140 5.686
Na 8.689 0.713 2.910
Na 9.366 2.140 7.208
Re 0.346 0.713 7.523
Re 5.672 2.140 3.225
Re 6.365 0.713 5.371
Re 11.690 2.140 1.073
Ag 1.211 0.713 4.208
Ag 4.807 2.140 8.506
Ag 7.230 0.713 0.090
Ag 10.825 2.140 4.388
O 0.610 0.713 2.174
O 1.471 2.140 8.581
O 1.776 0.713 6.249
O 4.243 2.140 1.951
O 4.547 0.713 4.283
O 5.408 2.140 6.473
O 6.628 0.713 2.124
O 7.489 2.140 4.313
O 7.794 0.713 6.645
O 10.261 2.140 2.347
O 10.565 0.713 0.015
O 11.426 2.140 6.422
```

***

# NaAgTe2PbSe
Simulated powder XRD pattern, Cu Ka. Input: a PBE-relaxed structure.
Lines closer than 0.1° are merged.

Most intense lines, 2θ = 10–90°, in order of falling intensity:
2θ (°)  I_rel
28.6  100
32.4  85
30.2  59
42.1  47
13.1  45
15.0  40
43.0  39
41.7  33
61.5  27
29.6  26

```
12
Lattice="2.166 -6.745 0.000 2.166 6.745 0.000 0.000 0.000 11.847" Properties=species:S:1:pos:R:3 pbc="T T T"
Na 2.166 4.006 8.886
Na 2.166 -4.006 2.962
Ag 2.166 5.775 2.962
Ag 2.166 -5.775 8.886
Te 2.166 4.490 0.418
Te 2.166 4.490 5.506
Te 2.166 -4.490 6.341
Te 2.166 -4.490 11.430
Pb 2.166 0.000 0.000
Pb 2.166 0.000 5.924
Se 2.166 0.633 2.962
Se 2.166 -0.633 8.886
```

***

# Na4Ag2SnPb
Simulated powder XRD pattern, Cu Ka. Input: a PBE-relaxed structure.
Lines closer than 0.1° are merged.

Most intense lines, 2θ = 10–90°, in order of falling intensity:
2θ (°)  I_rel
35.7  100
21.6  59
64.0  35
42.1  33
56.3  14
51.3  12
75.5  11
86.3  10
68.4  8
79.6  7

```
8
Lattice="5.039 0.000 0.000 0.000 5.039 0.000 0.000 0.000 7.113" Properties=species:S:1:pos:R:3 pbc="T T T"
Na 0.000 0.000 0.000
Na 0.000 2.520 1.752
Na 2.520 0.000 5.361
Na 2.520 2.520 3.557
Ag 0.000 2.520 5.410
Ag 2.520 0.000 1.703
Sn 2.520 2.520 0.000
Pb 0.000 0.000 3.557
```

***

# NaAg3Te4Pb
Simulated powder XRD pattern, Cu Ka. Input: a PBE-relaxed structure.
Lines closer than 0.1° are merged.

Most intense lines, 2θ = 10–90°, in order of falling intensity:
2θ (°)  I_rel
37.5  100
22.7  59
13.1  48
67.8  34
44.3  30
29.5  29
54.1  17
39.9  16
59.5  12
80.1  11

```
9
Lattice="6.776 0.000 0.000 0.000 6.776 0.000 0.000 0.000 6.776" Properties=species:S:1:pos:R:3 pbc="T T T"
Na 0.000 0.000 0.000
Ag 0.000 3.388 3.388
Ag 3.388 0.000 3.388
Ag 3.388 3.388 0.000
Te 1.696 1.696 1.696
Te 1.696 5.079 5.079
Te 5.079 1.696 5.079
Te 5.079 5.079 1.696
Pb 3.388 3.388 3.388
```

***

# NaAgTe3Pb
Simulated powder XRD pattern, Cu Ka. Input: a PBE-relaxed structure.
Lines closer than 0.1° are merged.

Most intense lines, 2θ = 10–90°, in order of falling intensity:
2θ (°)  I_rel
32.4  100
28.8  65
40.6  55
12.4  55
29.5  51
29.7  41
61.7  32
44.4  28
44.7  26
36.5  24

```
12
Lattice="2.040 -7.165 0.000 2.040 7.165 0.000 0.000 0.000 12.110" Properties=species:S:1:pos:R:3 pbc="T T T"
Na 2.040 3.629 9.083
Na 2.040 -3.629 3.028
Ag 2.040 0.864 3.028
Ag 2.040 -0.864 9.083
Te 2.040 6.103 3.028
Te 2.040 2.395 0.600
Te 2.040 2.395 5.455
Te 2.040 -2.395 6.655
Te 2.040 -2.395 11.510
Te 2.040 -6.103 9.083
Pb 0.000 0.000 0.000
Pb 0.000 0.000 6.055
```

***

# Na6AgPd
Simulated powder XRD pattern, Cu Ka. Input: a PBE-relaxed structure.
Lines closer than 0.1° are merged.

Most intense lines, 2θ = 10–90°, in order of falling intensity:
2θ (°)  I_rel
35.8  100
21.7  53
64.4  33
25.1  28
42.3  27
56.6  11
51.5  11
86.8  9
44.2  8
58.1  7

```
8
Lattice="5.019 0.000 0.000 0.000 5.019 0.000 0.000 0.000 7.080" Properties=species:S:1:pos:R:3 pbc="T T T"
Na 0.000 0.000 0.000
Na 0.000 2.509 1.714
Na 0.000 2.509 5.366
Na 2.509 0.000 1.714
Na 2.509 0.000 5.366
Na 2.509 2.509 3.540
Ag 0.000 0.000 3.540
Pd 2.509 2.509 0.000
```

***

# NaAg3PdSe4
Simulated powder XRD pattern, Cu Ka. Input: a PBE-relaxed structure.
Lines closer than 0.1° are merged.

Most intense lines, 2θ = 10–90°, in order of falling intensity:
2θ (°)  I_rel
41.0  100
24.8  70
14.2  61
48.5  31
74.7  30
32.2  18
59.4  16
43.6  15
53.0  13
65.3  12

```
9
Lattice="6.225 0.000 0.000 0.000 6.225 0.000 0.000 0.000 6.225" Properties=species:S:1:pos:R:3 pbc="T T T"
Na 0.000 0.000 0.000
Ag 0.000 3.113 3.113
Ag 3.113 0.000 3.113
Ag 3.113 3.113 0.000
Pd 3.113 3.113 3.113
Se 1.655 1.655 1.655
Se 1.655 4.571 4.571
Se 4.571 1.655 4.571
Se 4.571 4.571 1.655
```

***

# NaAgTe3Pd
Simulated powder XRD pattern, Cu Ka. Input: a PBE-relaxed structure.
Lines closer than 0.1° are merged.

Most intense lines, 2θ = 10–90°, in order of falling intensity:
2θ (°)  I_rel
33.9  100
32.9  95
12.7  93
30.7  88
29.6  69
42.4  53
44.8  41
45.5  40
57.3  38
38.8  33

```
12
Lattice="1.994 -6.945 0.000 1.994 6.945 0.000 0.000 0.000 10.880" Properties=species:S:1:pos:R:3 pbc="T T T"
Na 1.994 3.593 8.160
Na 1.994 -3.593 2.720
Ag 1.994 0.981 2.720
Ag 1.994 -0.981 8.160
Te 1.994 5.945 2.720
Te 1.994 1.914 0.141
Te 1.994 1.914 5.299
Te 1.994 -1.914 5.581
Te 1.994 -1.914 10.739
Te 1.994 -5.945 8.160
Pd 0.000 0.000 0.000
Pd 0.000 0.000 5.440
```

***

# NaAg3PtS4
Simulated powder XRD pattern, Cu Ka. Input: a PBE-relaxed structure.
Lines closer than 0.1° are merged.

Most intense lines, 2θ = 10–90°, in order of falling intensity:
2θ (°)  I_rel
14.6  100
42.1  72
33.0  43
29.4  38
44.7  27
76.8  22
25.4  20
54.4  16
69.1  14
63.1  14

```
9
Lattice="6.078 0.000 0.000 0.000 6.078 0.000 0.000 0.000 6.078" Properties=species:S:1:pos:R:3 pbc="T T T"
Na 0.000 0.000 0.000
Ag 0.000 3.039 3.039
Ag 3.039 0.000 3.039
Ag 3.039 3.039 0.000
Pt 3.039 3.039 3.039
S 1.657 1.657 1.657
S 1.657 4.421 4.421
S 4.421 1.657 4.421
S 4.421 4.421 1.657
```

***

# NaAg3Te4Pt
Simulated powder XRD pattern, Cu Ka. Input: a PBE-relaxed structure.
Lines closer than 0.1° are merged.

Most intense lines, 2θ = 10–90°, in order of falling intensity:
2θ (°)  I_rel
38.6  100
13.4  69
23.3  63
69.8  31
45.6  29
30.3  19
41.0  18
49.8  17
55.7  16
61.2  11

```
9
Lattice="6.604 0.000 0.000 0.000 6.604 0.000 0.000 0.000 6.604" Properties=species:S:1:pos:R:3 pbc="T T T"
Na 0.000 0.000 0.000
Ag 0.000 3.302 3.302
Ag 3.302 0.000 3.302
Ag 3.302 3.302 0.000
Te 1.766 1.766 1.766
Te 1.766 4.838 4.838
Te 4.838 1.766 4.838
Te 4.838 4.838 1.766
Pt 3.302 3.302 3.302
```

***

# NaPuAgSe3
Simulated powder XRD pattern, Cu Ka. Input: a PBE-relaxed structure.
Lines closer than 0.1° are merged.

Most intense lines, 2θ = 10–90°, in order of falling intensity:
2θ (°)  I_rel
13.1  100
33.6  82
43.2  55
33.4  26
27.8  24
29.1  21
30.3  20
36.0  20
43.4  12
55.6  12

```
12
Lattice="2.095 -6.780 0.000 2.095 6.780 0.000 0.000 0.000 10.743" Properties=species:S:1:pos:R:3 pbc="T T T"
Na 2.095 3.473 8.057
Na 2.095 -3.473 2.686
Pu 0.000 0.000 0.000
Pu 0.000 0.000 5.371
Ag 2.095 0.417 2.686
Ag 2.095 -0.417 8.057
Se 2.095 5.590 2.686
Se 2.095 1.853 0.532
Se 2.095 1.853 4.839
Se 2.095 -1.853 5.904
Se 2.095 -1.853 10.210
Se 2.095 -5.590 8.057
```